[1]
Simulated powder diffractogram
Compound: KAu
Radiation: Cu Kα
Structure: a PBE-relaxed structure

Crystal structure
Cell lengths 11.6169, 11.6169, 4.8173 Å; angles 90.00, 90.00, 90.00 degrees
Positions (direct):
K1 0.0036 0.2457 0.0000
K2 0.2457 0.9964 0.0000
K3 0.2543 0.5036 0.5000
K4 0.4964 0.2543 0.5000
K5 0.5036 0.7457 0.5000
K6 0.7457 0.4964 0.5000
K7 0.7543 0.0036 0.0000
K8 0.9964 0.7543 0.0000
Au1 0.1952 0.7824 0.5000
Au2 0.2176 0.1952 0.5000
Au3 0.2824 0.3048 0.0000
Au4 0.3048 0.7176 0.0000
Au5 0.6952 0.2824 0.0000
Au6 0.7176 0.6952 0.0000
Au7 0.7824 0.8048 0.5000
Au8 0.8048 0.2176 0.5000

Principal peaks in the range 2θ = 10–90°, by intensity:
2θ = 15.3°, 5.808 Å, I 100
2θ = 33.5°, 2.678 Å, I 49
2θ = 29.6°, 3.018 Å, I 40
2θ = 43.2°, 2.093 Å, I 25
2θ = 46.1°, 1.969 Å, I 19
2θ = 40.5°, 2.225 Å, I 19
2θ = 21.6°, 4.107 Å, I 15
2θ = 37.3°, 2.409 Å, I 12
2θ = 30.8°, 2.904 Å, I 11
2θ = 61.2°, 1.515 Å, I 11
2θ = 73.5°, 1.288 Å, I 9
2θ = 45.5°, 1.992 Å, I 9

[2]
Simulated powder diffractogram
Compound: KAu3
Radiation: Cu Kα
Structure: a PBE-relaxed structure

Crystal structure
Cell lengths 12.4651, 2.8515, 5.5570 Å; angles 90.00, 114.68, 90.00 degrees
Positions (direct):
K1 0.0000 0.0000 0.0000
K2 0.5000 0.5000 0.0000
Au1 0.0000 0.5000 0.5000
Au2 0.2197 0.0000 0.7245
Au3 0.2803 0.5000 0.2755
Au4 0.5000 0.0000 0.5000
Au5 0.7197 0.5000 0.7245
Au6 0.7803 0.0000 0.2755

Principal peaks in the range 2θ = 10–90°, by intensity:
2θ = 38.7°, 2.327 Å, I 100
2θ = 39.1°, 2.303 Å, I 94
2θ = 32.2°, 2.777 Å, I 88
2θ = 31.6°, 2.832 Å, I 63
2θ = 18.0°, 4.927 Å, I 51
2θ = 17.6°, 5.049 Å, I 44
2θ = 39.6°, 2.275 Å, I 35
2θ = 74.8°, 1.269 Å, I 28
2θ = 61.5°, 1.508 Å, I 26
2θ = 45.0°, 2.014 Å, I 26
2θ = 42.6°, 2.121 Å, I 23
2θ = 62.4°, 1.488 Å, I 23

[3]
Simulated powder diffractogram
Compound: K4Au
Radiation: Cu Kα
Structure: a PBE-relaxed structure

Crystal structure
Cell lengths 10.1355, 10.1355, 10.1355 Å; angles 129.98, 68.36, 136.57 degrees
Positions (direct):
K1 0.0753 0.6964 0.7717
K2 0.1614 0.1427 0.3041
K3 0.3386 0.6427 0.9813
K4 0.4247 0.1964 0.6211
K5 0.5753 0.8036 0.3789
K6 0.6614 0.3573 0.0187
K7 0.8386 0.8573 0.6959
K8 0.9247 0.3036 0.2283
Au1 0.2500 0.2500 0.0000
Au2 0.7500 0.7500 0.0000

Principal peaks in the range 2θ = 10–90°, by intensity:
2θ = 11.6°, 7.631 Å, I 100
2θ = 10.6°, 8.385 Å, I 67
2θ = 26.5°, 3.365 Å, I 42
2θ = 30.5°, 2.927 Å, I 35
2θ = 31.7°, 2.820 Å, I 31
2θ = 32.0°, 2.795 Å, I 23
2θ = 33.5°, 2.674 Å, I 22
2θ = 28.6°, 3.123 Å, I 18
2θ = 38.5°, 2.341 Å, I 17
2θ = 19.0°, 4.682 Å, I 16
2θ = 35.3°, 2.544 Å, I 16
2θ = 48.4°, 1.882 Å, I 16